1.
Diffraction record for NaCa2Eu. The PXRD pattern is calculated, not measured: it uses a crystal structure in Alexandria, relaxed with GGA-PBE and Cu Kα (λ = 1.5418 Å).
Neutral-atom scattering factors, no anomalous dispersion.

Main lines, by intensity (2θ from 15° to 90°):
two_theta	I/Imax
28.13	1000
32.59	508
55.46	421
46.76	357
26.61	203
29.02	167

Structural model:
abc: 3.883 3.883 38.118
angles: 90.00 90.00 120.00
Sites, in units of the cell vectors:
Na  0.000  0.000  0.000
Na  0.333  0.667  0.667
Na  0.667  0.333  0.333
Ca  0.000  0.000  0.251
Ca  0.000  0.000  0.749
Ca  0.333  0.667  0.416
Ca  0.333  0.667  0.917
Ca  0.667  0.333  0.083
Ca  0.667  0.333  0.584
Eu  0.000  0.000  0.500
Eu  0.333  0.667  0.167
Eu  0.667  0.333  0.833

2.
Diffraction record for NaCaEu4. The PXRD pattern is calculated, not measured: it uses a crystal structure in Alexandria, relaxed with GGA-PBE and Cu Kα (λ = 1.5418 Å).
Neutral-atom scattering factors, no anomalous dispersion.

Main lines, by intensity (2θ from 15° to 90°):
two_theta	I/Imax
28.86	1000
30.17	888
50.30	390
59.78	381
45.95	369
34.97	358

Structural model:
abc: 7.256 7.256 7.256
angles: 60.00 60.00 60.00
Sites, in units of the cell vectors:
Na  0.000  0.000  0.000
Ca  0.250  0.250  0.250
Eu  0.126  0.625  0.625
Eu  0.625  0.126  0.625
Eu  0.625  0.625  0.126
Eu  0.625  0.625  0.625

3.
Diffraction record for CaEuZrNbO6. The PXRD pattern is calculated, not measured: it uses a crystal structure in Alexandria, relaxed with GGA-PBE and Cu Kα (λ = 1.5418 Å).
Neutral-atom scattering factors, no anomalous dispersion.

Main lines, by intensity (2θ from 15° to 90°):
two_theta	I/Imax
30.69	1000
54.55	393
43.95	340
18.65	209
88.86	205
63.90	203

Structural model:
abc: 5.827 5.827 5.827
angles: 60.00 60.00 60.00
Sites, in units of the cell vectors:
Ca  0.000  0.000  0.000
Eu  0.500  0.500  0.500
Zr  0.750  0.750  0.750
Nb  0.250  0.250  0.250
O  0.004  0.004  0.496
O  0.004  0.496  0.004
O  0.004  0.496  0.496
O  0.496  0.004  0.004
O  0.496  0.004  0.496
O  0.496  0.496  0.004

4.
Diffraction record for CaEuNi. The PXRD pattern is calculated, not measured: it uses a crystal structure in Alexandria, relaxed with GGA-PBE and Cu Kα (λ = 1.5418 Å).
Neutral-atom scattering factors, no anomalous dispersion.

Main lines, by intensity (2θ from 15° to 90°):
two_theta	I/Imax
28.91	1000
37.47	513
44.94	285
48.88	250
25.50	193
54.32	166

Structural model:
abc: 4.034 4.034 6.607
angles: 90.00 90.00 120.00
Sites, in units of the cell vectors:
Ca  0.000  0.000  0.000
Eu  0.667  0.333  0.523
Ni  0.333  0.667  0.761

5.
Diffraction record for Ca2EuZn9Ni6. The PXRD pattern is calculated, not measured: it uses a crystal structure in Alexandria, relaxed with GGA-PBE and Cu Kα (λ = 1.5418 Å).
Neutral-atom scattering factors, no anomalous dispersion.

Main lines, by intensity (2θ from 15° to 90°):
two_theta	I/Imax
45.85	1000
37.48	602
41.00	537
44.16	463
31.60	452
39.90	434

Structural model:
abc: 9.038 9.038 4.102
angles: 90.00 90.00 120.00
Sites, in units of the cell vectors:
Ca  0.333  0.667  0.000
Ca  0.667  0.333  0.000
Eu  0.000  0.000  0.500
Zn  0.000  0.295  0.000
Zn  0.000  0.500  0.500
Zn  0.000  0.705  0.000
Zn  0.295  0.000  0.000
Zn  0.295  0.295  0.000
Zn  0.500  0.000  0.500
Zn  0.500  0.500  0.500
Zn  0.705  0.000  0.000
Zn  0.705  0.705  0.000
Ni  0.183  0.367  0.500
Ni  0.183  0.817  0.500
Ni  0.367  0.183  0.500
Ni  0.633  0.817  0.500
Ni  0.817  0.183  0.500
Ni  0.817  0.633  0.500

6.
Diffraction record for SrCaEuSbO6. The PXRD pattern is calculated, not measured: it uses a crystal structure in Alexandria, relaxed with GGA-PBE and Cu Kα (λ = 1.5418 Å).
Neutral-atom scattering factors, no anomalous dispersion.

Main lines, by intensity (2θ from 15° to 90°):
two_theta	I/Imax
30.33	1000
30.71	610
54.36	473
18.51	315
43.98	286
53.66	247

Structural model:
abc: 5.823 5.823 8.437
angles: 90.00 90.00 90.00
Sites, in units of the cell vectors:
Sr  0.000  0.500  0.250
Sr  0.500  0.000  0.750
Ca  0.000  0.000  0.000
Ca  0.500  0.500  0.500
Eu  0.000  0.500  0.750
Eu  0.500  0.000  0.250
Sb  0.000  0.000  0.500
Sb  0.500  0.500  0.000
O  0.000  0.000  0.264
O  0.000  0.000  0.736
O  0.155  0.308  0.512
O  0.192  0.345  0.988
O  0.308  0.845  0.488
O  0.345  0.808  0.012
O  0.500  0.500  0.236
O  0.500  0.500  0.764
O  0.655  0.192  0.012
O  0.692  0.155  0.488
O  0.808  0.655  0.988
O  0.845  0.692  0.512